Theoretical powder diffraction line list
Compound: KGdH2S2O9
Radiation: copper Kα
Structure: the PBE geometry in OQMD

Principal peaks in the range 2θ = 10–90°, by intensity:
d_spacing  two_theta  Rel. int.  index
5.980  14.8  100  1 1 0
6.024  14.7  87  0 1 1
3.045  29.3  75  3 1 -2
3.197  27.9  73  1 2 1
3.114  28.7  45  1 1 2
3.709  24.0  38  0 2 1
3.368  26.5  27  1 0 2
2.564  35.0  27  2 0 2
2.605  34.4  26  0 3 1
2.116  42.7  23  4 1 0
4.354  20.4  20  2 0 -2
2.430  37.0  18  2 1 -4

Structure:
Unit cell a=10.0299 b=8.1749 c=10.1884 alpha=90.00 beta=118.99 gamma=90.00
Atoms (fractional coordinates):
K 0.2085 0.1652 0.1819
K 0.2085 0.3348 0.6819
K 0.7915 0.6652 0.3181
K 0.7915 0.8348 0.8181
Gd 0.2585 0.6495 0.0425
Gd 0.2585 0.8505 0.5425
Gd 0.7415 0.1495 0.4575
Gd 0.7415 0.3505 0.9575
H 0.2901 0.5194 0.4432
H 0.2901 0.9806 0.9432
H 0.4208 0.5171 0.6105
H 0.4208 0.9829 0.1105
H 0.5792 0.0171 0.8895
H 0.5792 0.4829 0.3895
H 0.7099 0.0194 0.0568
H 0.7099 0.4806 0.5568
S 0.0494 0.6385 0.1839
S 0.0494 0.8615 0.6839
S 0.4988 0.2022 0.5951
S 0.4988 0.2978 0.0951
S 0.5012 0.7022 0.9049
S 0.5012 0.7978 0.4049
S 0.9506 0.1385 0.3161
S 0.9506 0.3615 0.8161
O 0.0595 0.7369 0.5815
O 0.0595 0.7631 0.0815
O 0.0686 0.7156 0.3228
O 0.0686 0.7844 0.8228
O 0.1026 0.0602 0.3905
O 0.1026 0.4398 0.8905
O 0.1732 0.5175 0.2161
O 0.1732 0.9825 0.7161
O 0.3180 0.5621 0.5438
O 0.3180 0.9379 0.0438
O 0.3571 0.6168 0.8754
O 0.3571 0.8832 0.3754
O 0.3983 0.0896 0.6206
O 0.3983 0.4104 0.1206
O 0.4238 0.2266 0.9448
O 0.4238 0.2734 0.4448
O 0.4596 0.6658 0.2890
O 0.4596 0.8342 0.7890
O 0.5404 0.1658 0.2110
O 0.5404 0.3342 0.7110
O 0.5762 0.7266 0.5552
O 0.5762 0.7734 0.0552
O 0.6017 0.5896 0.8794
O 0.6017 0.9104 0.3794
O 0.6429 0.1168 0.6246
O 0.6429 0.3832 0.1246
O 0.6820 0.0621 0.9562
O 0.6820 0.4379 0.4562
O 0.8268 0.0175 0.2839
O 0.8268 0.4825 0.7839
O 0.8974 0.5602 0.1095
O 0.8974 0.9398 0.6095
O 0.9314 0.2156 0.1772
O 0.9314 0.2844 0.6772
O 0.9405 0.2369 0.9185
O 0.9405 0.2631 0.4185